[1]
Calculated powder diffractogram
Compound: TlCdTe
Radiation: Cu Kα X-rays
Structure: a cell relaxed with PBE
Intensities are scaled so that the largest is 100.

Most intense lines, 2θ from 5° to 70°, by angle:
hkl  Position (°2θ)  I_rel
1 1 1  25.89  13.2
2 0 0  26.27  17.6
0 1 3  29.64  100.0
1 0 4  30.48  22.7
1 1 -3  32.49  19.8
2 1 1  34.69  52.2
2 0 4  38.34  17.5
2 1 -3  40.00  13.4
0 2 0  43.10  21.9
1 1 7  55.76  19.8

Structure:
Cell: 6.785 4.196 13.009 Å, 90.00 90.04 90.00°
Space group P2_1/m (No. 11)
Unique sites:
Tl (0.227, 0.250, 0.428) [2 per cell]
Tl (0.272, 0.750, 0.928) [2 per cell]
Cd (0.048, 0.250, 0.762) [2 per cell]
Cd (0.451, 0.750, 0.262) [2 per cell]
Te (0.230, 0.250, 0.134) [2 per cell]
Te (0.271, 0.750, 0.635) [2 per cell]

***

[2]
Calculated powder diffractogram
Compound: GeIr9
Radiation: Cu Kα X-rays
Structure: a cell relaxed with PBE
Intensities are scaled so that the largest is 100.

Most intense lines, 2θ from 5° to 70°, by angle:
hkl  Position (°2θ)  I_rel
0 0 4  8.72  17.5
0 1 14  38.82  28.0
1 1 0  40.31  100.0
0 1 15  40.70  66.1
1 0 14  45.53  18.0
0 2 0  46.96  32.5
1 0 15  47.19  45.1
1 2 14  67.46  11.3
2 0 0  68.39  10.7
1 2 15  68.76  28.6

Structure:
Cell: 2.744 3.871 40.560 Å, 90.00 90.00 90.00°
Space group Pmmn (No. 59, origin choice 2)
Unique sites:
Ge (0.250, 0.250, 0.181) [2 per cell]
Ir (0.250, 0.250, 0.247) [2 per cell]
Ir (0.250, 0.250, 0.315) [2 per cell]
Ir (0.250, 0.250, 0.382) [2 per cell]
Ir (0.250, 0.250, 0.449) [2 per cell]
Ir (0.250, 0.250, 0.517) [2 per cell]
Ir (0.250, 0.250, 0.584) [2 per cell]
Ir (0.250, 0.250, 0.652) [2 per cell]
Ir (0.250, 0.250, 0.719) [2 per cell]
Ir (0.250, 0.250, 0.787) [2 per cell]

***

[3]
Calculated powder diffractogram
Compound: TbEr2Cu4Sn4
Radiation: Cu Kα X-rays
Structure: a cell relaxed with PBE
Intensities are scaled so that the largest is 100.

Most intense lines, 2θ from 5° to 70°, by angle:
hkl  Position (°2θ)  I_rel
0 1 5  33.14  27.4
1 2 1  33.27  97.8
1 1 4  34.23  100.0
0 0 6  36.76  19.7
2 0 0  40.62  42.1
0 3 3  43.17  23.4
1 2 5  45.30  22.1
2 1 5  53.39  14.2
2 3 3  60.76  16.5
2 4 0  68.54  14.5

Structure:
Cell: 4.442 6.959 14.667 Å, 90.00 90.00 90.00°
Space group Immm (No. 71)
Unique sites:
Tb (0.000, 0.000, 0.000) [2 per cell]
Er (0.000, 0.500, 0.131) [4 per cell]
Cu (0.000, 0.312, 0.330) [8 per cell]
Sn (0.000, 0.000, 0.217) [4 per cell]
Sn (0.000, 0.202, 0.500) [4 per cell]

***

[4]
Calculated powder diffractogram
Compound: Tl2AgTe2Au
Radiation: Cu Kα X-rays
Structure: a cell relaxed with PBE
Intensities are scaled so that the largest is 100.

Most intense lines, 2θ from 5° to 70°, by angle:
hkl  Position (°2θ)  I_rel
0 0 1  9.24  2.8
1 0 0  21.53  4.0
1 0 2  28.56  100.0
0 0 4  37.60  15.9
1 1 0  37.74  47.3
2 0 2  48.00  24.4
1 1 4  54.33  33.1
1 0 6  62.42  11.1
2 1 2  62.62  22.1
3 0 0  68.15  8.4

Structure:
Cell: 4.7667 4.7667 9.5697 Å, 90.00 90.00 120.00°
Space group P-6m2 (No. 187)
Unique sites:
Tl (0.0000, 0.0000, 0.2495) [2 per cell]
Ag (0.3333, 0.6667, 0.0000) [1 per cell]
Te (0.3333, 0.6667, 0.5000) [1 per cell]
Te (0.6667, 0.3333, 0.0000) [1 per cell]
Au (0.6667, 0.3333, 0.5000) [1 per cell]

***

[5]
Calculated powder diffractogram
Compound: Sb2IrC3O3F13
Radiation: Cu Kα X-rays
Structure: a cell relaxed with PBE
Intensities are scaled so that the largest is 100.

Most intense lines, 2θ from 5° to 70°, by angle:
hkl  Position (°2θ)  I_rel
0 1 1  12.96  100.0
1 0 1  13.82  60.8
1 0 -1  16.56  37.9
0 0 2  20.61  43.0
1 0 2  21.68  73.3
2 0 0  22.62  53.0
0 2 0  23.31  87.4
2 -1 0  25.00  48.5
1 0 -2  25.28  41.6
2 1 0  25.94  46.1

Structure:
Cell: 7.992 8.006 9.182 Å, 72.58 79.98 89.34°
Space group P-1 (No. 2)
Unique sites:
Sb (0.168, 0.256, 0.145) [2 per cell]
Sb (0.176, 0.282, 0.659) [2 per cell]
Ir (0.297, 0.802, 0.204) [2 per cell]
C (0.289, 0.826, 0.414) [2 per cell]
C (0.319, 0.788, 0.987) [2 per cell]
C (0.412, 0.594, 0.257) [2 per cell]
O (0.301, 0.844, 0.530) [2 per cell]
O (0.328, 0.770, 0.867) [2 per cell]
O (0.477, 0.463, 0.288) [2 per cell]
F (0.015, 0.303, 0.005) [2 per cell]
F (0.020, 0.767, 0.697) [2 per cell]
F (0.063, 0.673, 0.260) [2 per cell]
F (0.082, 0.126, 0.573) [2 per cell]
F (0.142, 0.009, 0.144) [2 per cell]
F (0.167, 0.468, 0.476) [2 per cell]
F (0.176, 0.095, 0.842) [2 per cell]
F (0.218, 0.493, 0.121) [2 per cell]
F (0.220, 0.460, 0.746) [2 per cell]
F (0.308, 0.168, 0.297) [2 per cell]
F (0.365, 0.276, 0.989) [2 per cell]
F (0.408, 0.258, 0.583) [2 per cell]
F (0.500, 0.047, 0.851) [2 per cell]

***

[6]
Calculated powder diffractogram
Compound: HoTm2Mg3Pt2Au
Radiation: Cu Kα X-rays
Structure: a cell relaxed with PBE
Intensities are scaled so that the largest is 100.

Most intense lines, 2θ from 5° to 70°, by angle:
hkl  Position (°2θ)  I_rel
0 3 1  24.05  46.6
1 2 0  26.16  23.7
0 4 0  27.83  16.7
1 0 2  32.89  59.8
1 2 2  35.83  100.0
0 3 3  42.30  34.7
1 5 1  43.61  33.1
2 0 0  45.10  21.2
2 3 3  63.54  21.0
1 8 2  67.81  16.5

Structure:
Cell: 4.021 12.838 7.391 Å, 90.00 90.00 90.00°
Space group Amm2 (No. 38)
Unique sites:
Ho (0.000, 0.000, 0.000) [2 per cell]
Tm (0.000, 0.208, 0.624) [4 per cell]
Mg (0.500, 0.000, 0.668) [2 per cell]
Mg (0.500, 0.127, 0.291) [4 per cell]
Pt (0.500, 0.168, 0.916) [4 per cell]
Au (0.000, 0.000, 0.418) [2 per cell]

***

[7]
Calculated powder diffractogram
Compound: Sr2Li3SmPb3
Radiation: Cu Kα X-rays
Structure: a cell relaxed with PBE
Intensities are scaled so that the largest is 100.

Most intense lines, 2θ from 5° to 70°, by angle:
hkl  Position (°2θ)  I_rel
1 0 1  21.91  89.3
1 0 2  25.65  22.6
1 0 3  30.94  100.0
1 1 0  35.95  77.0
1 0 4  37.22  40.9
2 0 1  42.50  16.7
2 0 3  48.15  29.6
1 1 6  60.38  23.1
2 1 3  61.53  28.6
2 1 4  65.45  16.3

Structure:
Cell: 4.9964 4.9964 11.6492 Å, 90.00 90.00 120.00°
Space group P-6m2 (No. 187)
Unique sites:
Sr (0.0000, 0.0000, 0.1650) [2 per cell]
Li (0.3333, 0.6667, 0.0000) [1 per cell]
Li (0.6667, 0.3333, 0.3255) [2 per cell]
Sm (0.0000, 0.0000, 0.5000) [1 per cell]
Pb (0.3333, 0.6667, 0.3588) [2 per cell]
Pb (0.6667, 0.3333, 0.0000) [1 per cell]

***

[8]
Calculated powder diffractogram
Compound: Sr2IrO4
Radiation: Cu Kα X-rays
Structure: a cell relaxed with PBE
Intensities are scaled so that the largest is 100.

Most intense lines, 2θ from 5° to 70°, by angle:
hkl  Position (°2θ)  I_rel
0 0 4  13.65  40.1
1 1 2  23.99  18.2
1 1 6  31.00  100.0
2 0 0  32.72  60.2
0 0 12  41.77  17.1
1 1 10  41.91  16.2
2 2 0  46.95  26.5
2 0 12  54.04  24.0
3 1 6  57.33  39.9
2 2 12  64.62  16.7

Structure:
Cell: 5.474 5.474 25.951 Å, 90.00 90.00 90.00°
Space group I4_1/acd (No. 142, origin choice 2)
Unique sites:
Sr (0.000, 0.250, 0.050) [16 per cell]
Ir (0.000, 0.250, 0.375) [8 per cell]
O (0.000, 0.250, 0.295) [16 per cell]
O (0.190, 0.060, 0.125) [16 per cell]